# Ba2YCu3Pb2O8
Simulated X-ray powder pattern, a wavelength of 1.5418 Å. Input: DFT lattice parameters and positions (PBE).
Neutral-atom scattering factors, no anomalous dispersion.

```
Ba2YCu3Pb2O8
1.0
3.921 0.000 0.000
0.000 3.875 0.000
-0.315 0.000 16.545
Ba Y Cu Pb O
2 1 3 2 8
Cartesian
-0.027 0.000 3.695
3.634 0.000 12.850
0.000 0.000 0.000
-0.157 0.000 8.272
1.670 1.937 14.924
1.936 1.937 1.621
1.735 1.937 10.064
1.872 1.937 6.481
-0.026 1.937 1.454
3.632 1.937 15.091
0.368 0.000 6.492
1.680 1.937 12.273
1.666 0.000 15.105
1.940 0.000 1.440
1.927 1.937 4.272
3.238 0.000 10.053
```

Principal peaks in the range 10° ≤ 2θ ≤ 80°, by angle:
2θ = 26.94°, I = 14.6, (0 0 5); 2θ = 31.13°, I = 32.8, (1 0 -4); 2θ = 31.64°, I = 64.1, (0 1 4); 2θ = 31.74°, I = 33.5, (1 0 4); 2θ = 32.49°, I = 100.0, (1 1 0); 2θ = 42.40°, I = 14.2, (1 1 -5); 2θ = 42.99°, I = 13.3, (1 1 5); 2θ = 46.31°, I = 22.9, (2 0 0); 2θ = 46.90°, I = 25.6, (0 2 0); 2θ = 57.56°, I = 13.1, (2 1 4)